# Ta2SO7
Computed powder XRD pattern, copper Kα. Input: a PBE-relaxed structure.
Lines closer than 0.1° are merged.

Structural model:
```
data_Ta2SO7
_chemical_formula_sum 'Ta4 S2 O14'
_cell_length_a 8.2081
_cell_length_b 6.6022
_cell_length_c 4.0973
_cell_angle_alpha 90.00
_cell_angle_beta 90.00
_cell_angle_gamma 90.00
_symmetry_space_group_name_H-M 'P m n 21'
_symmetry_Int_Tables_number 31
_symmetry_space_group_name_Hall 'P 2ac -2'
loop_
_atom_site_label
_atom_site_type_symbol
_atom_site_fract_x
_atom_site_fract_y
_atom_site_fract_z
Ta1 Ta 0.2257 0.1529 0.0000
S1 S 0.0000 0.5065 0.6739
O1 O 0.0000 0.1015 0.9828
O2 O 0.0000 0.3855 0.3862
O3 O 0.0000 0.7361 0.5693
O4 O 0.1496 0.4762 0.8713
O5 O 0.2405 0.1511 0.5065
```

Largest 8 diffraction maxima, most intense first, 10 to 90 degrees two-theta:
- 2θ = 25.57°, rel. 100, (0 1 1)
- 2θ = 21.65°, rel. 47, (2 0 0)
- 2θ = 34.90°, rel. 40, (0 2 1)
- 2θ = 33.76°, rel. 39, (2 1 1)
- 2θ = 13.41°, rel. 36, (0 1 0)
- 2θ = 41.45°, rel. 28, (2 2 1)
- 2θ = 44.17°, rel. 25, (0 0 2)
- 2θ = 41.01°, rel. 19, (0 3 0)

---

# Tc3SO2
Computed powder XRD pattern, copper Kα. Input: a PBE-relaxed structure.
Lines closer than 0.1° are merged.

Structural model:
```
data_Tc3SO2
_chemical_formula_sum 'Tc3 S1 O2'
_cell_length_a 5.1810
_cell_length_b 5.1810
_cell_length_c 3.2175
_cell_angle_alpha 90.00
_cell_angle_beta 90.00
_cell_angle_gamma 120.00
_symmetry_space_group_name_H-M 'P 6/m m m'
_symmetry_Int_Tables_number 191
_symmetry_space_group_name_Hall '-P 6 2'
loop_
_atom_site_label
_atom_site_type_symbol
_atom_site_fract_x
_atom_site_fract_y
_atom_site_fract_z
Tc1 Tc 0.0000 0.5000 0.0000
S1 S 0.0000 0.0000 0.5000
O1 O 0.3333 0.6667 0.5000
```

Largest 8 diffraction maxima, most intense first, 10 to 90 degrees two-theta:
- 2θ = 40.20°, rel. 100, (2 0 0)
- 2θ = 49.53°, rel. 87, (2 0 1)
- 2θ = 27.73°, rel. 49, (0 0 1)
- 2θ = 19.79°, rel. 44, (1 0 0)
- 2θ = 34.30°, rel. 42, (1 0 1)
- 2θ = 44.92°, rel. 38, (1 1 1)
- 2θ = 72.27°, rel. 34, (2 0 2)
- 2θ = 73.05°, rel. 21, (2 2 0)